For NaZrUSe4, a DFT-relaxed cell (PBE, Alexandria) gives the computed powder diffractogram in this record (CuKα).
Lines closer than 0.1° are merged.

Cell: 8.042 8.700 11.569 Å, 90.00 90.00 90.00°
Space group Imma (No. 74)
Unique sites:
1 Na 0.000 0.250 0.141 x4
2 Zr 0.250 0.250 0.750 x4
3 U 0.000 0.000 0.500 x4
4 Se 0.000 0.035 0.747 x8
5 Se 0.233 0.250 0.514 x8

Top 10 peaks for 2θ from 15° to 90°, low angle first:
3.633 Å, intensity 49, hkl 1 2 1
3.478 Å, intensity 35, hkl 1 0 3
2.953 Å, intensity 100, hkl 2 2 0
2.892 Å, intensity 49, hkl 0 0 4
2.238 Å, intensity 29, hkl 3 2 1
2.175 Å, intensity 22, hkl 0 4 0
2.066 Å, intensity 93, hkl 2 2 4
2.010 Å, intensity 23, hkl 4 0 0
1.738 Å, intensity 18, hkl 0 4 4
1.650 Å, intensity 23, hkl 4 0 4

***

For NaV2Se4, a DFT-relaxed cell (PBE, Alexandria) gives the computed powder diffractogram in this record (CuKα).
Lines closer than 0.1° are merged.

Cell: 3.6263 3.6263 41.6368 Å, 90.00 90.00 120.00°
Space group R3m (No. 160, hexagonal axes)
Unique sites:
1 Na 0.0000 0.0000 0.0000 x3
2 V 0.0000 0.0000 0.4209 x3
3 V 0.0000 0.0000 0.9120 x3
4 Se 0.0000 0.0000 0.1210 x3
5 Se 0.0000 0.0000 0.2119 x3
6 Se 0.0000 0.0000 0.6153 x3
7 Se 0.0000 0.0000 0.7177 x3

Top 10 peaks for 2θ from 15° to 90°, low angle first:
3.105 Å, intensity 23, hkl 0 1 2
3.007 Å, intensity 38, hkl 1 0 4
2.689 Å, intensity 16, hkl 0 1 8
2.507 Å, intensity 100, hkl 1 0 10
2.159 Å, intensity 21, hkl 0 1 14
1.813 Å, intensity 40, hkl 1 1 0
1.735 Å, intensity 28, hkl 0 1 20
1.469 Å, intensity 18, hkl 0 2 10
1.254 Å, intensity 16, hkl 2 0 20
1.142 Å, intensity 16, hkl 2 1 10

***

For NaV4Se8, a DFT-relaxed cell (PBE, Alexandria) gives the computed powder diffractogram in this record (CuKα).
Lines closer than 0.1° are merged.

Cell: 10.474 10.474 10.474 Å, 90.00 90.00 90.00°
Space group F-43m (No. 216)
Unique sites:
1 Na 0.000 0.000 0.000 x4
2 V 0.111 0.111 0.611 x16
3 Se 0.126 0.126 0.374 x16
4 Se 0.144 0.144 0.856 x16

Top 10 peaks for 2θ from 15° to 90°, low angle first:
3.158 Å, intensity 11, hkl 3 1 1
3.024 Å, intensity 59, hkl 2 2 2
2.619 Å, intensity 100, hkl 4 0 0
2.138 Å, intensity 17, hkl 4 2 2
2.016 Å, intensity 18, hkl 5 1 1
1.852 Å, intensity 70, hkl 4 4 0
1.579 Å, intensity 21, hkl 6 2 2
1.512 Å, intensity 19, hkl 4 4 4
1.234 Å, intensity 10, hkl 8 2 2
1.171 Å, intensity 19, hkl 8 4 0

***

For NaV4Se8, a DFT-relaxed cell (PBE, Alexandria) gives the computed powder diffractogram in this record (CuKα).
Lines closer than 0.1° are merged.

Cell: 16.780 3.534 12.028 Å, 90.00 130.25 90.00°
Space group Cm (No. 8)
Unique sites:
1 Na 0.000 0.000 0.000 x2
2 V 0.156 0.000 0.482 x2
3 V 0.175 0.500 0.853 x2
4 V 0.327 0.000 0.157 x2
5 V 0.346 0.500 0.528 x2
6 Se 0.042 0.000 0.744 x2
7 Se 0.122 0.500 0.593 x2
8 Se 0.156 0.500 0.328 x2
9 Se 0.192 0.500 0.076 x2
10 Se 0.310 0.000 0.934 x2
11 Se 0.345 0.000 0.681 x2
12 Se 0.379 0.000 0.417 x2
13 Se 0.460 0.500 0.266 x2

Top 10 peaks for 2θ from 15° to 90°, low angle first:
2.932 Å, intensity 24, hkl 3 1 -2
2.814 Å, intensity 58, hkl 2 0 -4
2.790 Å, intensity 34, hkl 6 0 -3
2.722 Å, intensity 100, hkl 3 1 0
2.646 Å, intensity 92, hkl 3 1 -3
2.554 Å, intensity 37, hkl 4 0 1
2.298 Å, intensity 30, hkl 5 1 -1
2.222 Å, intensity 35, hkl 5 1 -4
1.916 Å, intensity 20, hkl 7 1 -2
1.767 Å, intensity 96, hkl 0 2 0

***

- What is the formula in the third record?
  NaV4Se8